(1)
For K2NaAl3F12, a cell relaxed with PBE gives the theoretical powder diffraction line list in this record (Cu Kα).
Neutral-atom scattering factors, no anomalous dispersion.

Top 10 peaks for 10 to 90 degrees two-theta, low angle first:
2θ (°), Rel. int., hkl
15.5, 56, 1 0 -1
29.7, 100, 1 2 1
29.8, 29, 2 1 1
30.1, 48, 1 0 3
31.2, 23, 0 2 2
39.6, 25, 1 2 3
46.9, 21, 2 1 -4
47.3, 18, 2 3 1
51.6, 22, 0 4 0
52.4, 17, 2 2 4

Cell: 7.046 7.079 9.811 Å, 90.00 90.21 90.00°
Space group P2_1/m (No. 11)
One atom of each set of equivalent atoms:
K1 0.016 0.250 0.102 x2
K2 0.462 0.250 0.358 x2
Na1 0.209 0.750 0.240 x2
Al1 0.000 0.000 0.500 x2
Al2 0.307 0.250 0.720 x2
Al3 0.500 0.000 0.000 x2
F1 0.079 0.750 0.499 x2
F2 0.103 0.250 0.822 x2
F3 0.135 0.040 0.350 x4
F4 0.212 0.062 0.606 x4
F5 0.262 0.543 0.051 x4
F6 0.417 0.060 0.826 x4
F7 0.474 0.250 0.058 x2
F8 0.481 0.750 0.379 x2

***

(2)
For K3Na2AlF9, a cell relaxed with PBE gives the theoretical powder diffraction line list in this record (Cu Kα).
Neutral-atom scattering factors, no anomalous dispersion.

Top 10 peaks for 10 to 90 degrees two-theta, low angle first:
2θ (°), Rel. int., hkl
29.6, 50, 0 1 2
30.5, 46, 1 1 0
36.0, 21, 0 0 3
37.4, 57, 0 2 1
43.1, 100, 2 0 2
52.1, 9, 1 0 4
53.7, 17, 1 2 2
61.6, 24, 0 2 4
63.5, 25, 2 2 0
79.8, 10, 0 4 2

Cell: 5.8611 5.8611 7.4885 Å, 90.00 90.00 120.00°
Space group P-3m1 (No. 164)
One atom of each set of equivalent atoms:
K1 0.0000 0.0000 0.0000 x1
K2 0.3333 0.6667 0.6818 x2
Na1 0.3333 0.6667 0.1974 x2
Al1 0.0000 0.0000 0.5000 x1
F1 0.0000 0.5000 0.0000 x3
F2 0.1474 0.2949 0.3588 x6

***

(3)
For K4Nb11Al2O20F, a cell relaxed with PBE gives the theoretical powder diffraction line list in this record (Cu Kα).
Neutral-atom scattering factors, no anomalous dispersion.

Top 10 peaks for 10 to 90 degrees two-theta, low angle first:
2θ (°), Rel. int., hkl
12.1, 48, 1 0 1
13.8, 34, 0 0 2
14.1, 83, 1 1 0
30.7, 100, 2 1 3
30.9, 40, 3 0 1
36.8, 30, 3 0 3
42.2, 36, 0 0 6
43.1, 74, 3 3 0
47.1, 31, 4 1 3
61.9, 46, 3 3 6

Cell: 8.907 8.907 12.840 Å, 90.00 90.00 90.00°
Space group I4/mmm (No. 139)
One atom of each set of equivalent atoms:
K1 0.000 0.307 0.000 x8
Nb1 0.000 0.000 0.185 x4
Nb2 0.000 0.000 0.500 x2
Nb3 0.162 0.162 0.338 x16
Al1 0.000 0.500 0.250 x4
O1 0.000 0.339 0.334 x16
O2 0.165 0.165 0.175 x16
O3 0.170 0.170 0.500 x8
F1 0.000 0.000 0.000 x2